The following is a calculated X-ray diffraction stick pattern of TmMoBrO4. It was derived from a GGA+U-relaxed structure, using Cu Kα (λ = 1.5418 Å).

Structural model:
Cell: 7.0100 7.2665 10.8493 Å, 102.52 107.98 95.69°
Element x y z (fractional)
Tm 0.1233 0.3339 0.2328
Tm 0.1694 0.0900 0.7289
Tm 0.8306 0.9100 0.2711
Tm 0.8767 0.6661 0.7672
Mo 0.2249 0.8188 0.1350
Mo 0.2718 0.5794 0.6277
Mo 0.7282 0.4206 0.3723
Mo 0.7751 0.1812 0.8650
Br 0.2331 0.9811 0.4792
Br 0.3055 0.2755 0.0105
Br 0.6945 0.7245 0.9895
Br 0.7669 0.0189 0.5208
O 0.0930 0.0120 0.1918
O 0.1497 0.7404 0.9573
O 0.1550 0.7721 0.7049
O 0.1581 0.6237 0.1986
O 0.1722 0.4979 0.4481
O 0.2274 0.3830 0.6953
O 0.4608 0.3484 0.3261
O 0.4939 0.8958 0.2029
O 0.5061 0.1042 0.7971
O 0.5392 0.6516 0.6739
O 0.7726 0.6170 0.3047
O 0.8278 0.5021 0.5519
O 0.8419 0.3763 0.8014
O 0.8450 0.2279 0.2951
O 0.8503 0.2596 0.0427
O 0.9070 0.9880 0.8082

Largest 10 diffraction maxima, most intense first, 15 to 90 degrees two-theta:
2θ = 24.73°, intensity 100.0; 2θ = 25.88°, intensity 41.8; 2θ = 30.71°, intensity 33.7; 2θ = 27.19°, intensity 30.7; 2θ = 17.81°, intensity 24.9; 2θ = 33.67°, intensity 23.1; 2θ = 27.44°, intensity 22.9; 2θ = 30.01°, intensity 20.2; 2θ = 35.88°, intensity 18.4; 2θ = 35.51°, intensity 14.9